Calculated powder diffraction line list
Compound: Na4CaSi2SnSO12
Radiation: Cu Ka
Structure: a DFT-relaxed cell (PBE, the Materials Project)

Structure:
```
Na4CaSi2SnSO12
1.0
7.9602 -4.7309 0.0000
7.9602 4.7309 0.0000
-5.5190 0.0000 7.6994
Na Ca Si Sn S O
8 2 4 2 2 24
Cartesian
5.2007 4.1480 3.8497 Na
1.8818 1.1195 5.0662 Na
4.2069 2.2465 6.7931 Na
4.6413 -1.1195 1.2165 Na
8.5740 0.6343 2.1332 Na
5.8145 -0.6343 5.9829 Na
6.9664 -2.2465 2.9434 Na
7.9602 -4.1480 0.0000 Na
6.6149 2.3785 0.3370 Ca
3.8554 -2.3785 4.1867 Ca
5.2846 1.0072 3.3922 Si
2.5251 -1.0072 7.2419 Si
12.4978 0.5203 1.0409 Si
9.7383 -0.5203 4.8906 Si
7.5683 2.1492 5.7771 Sn
10.3278 -2.1492 1.9274 Sn
-1.7665 0.8799 6.5504 S
0.9931 -0.8799 2.7007 S
2.8734 1.1628 0.0487 O
2.0587 3.2211 6.1441 O
1.0181 0.6212 2.5642 O
-0.4271 1.4227 6.7291 O
3.7382 1.7120 3.1458 O
-1.7415 -0.6212 6.4139 O
8.4309 3.2563 1.4544 O
0.1139 -1.1628 3.8984 O
6.2330 1.2123 2.1316 O
5.7949 1.9049 4.7563 O
2.3324 -1.4227 2.8793 O
2.4609 0.5758 7.5677 O
5.2204 -0.5758 3.7180 O
0.9787 -1.7120 6.9956 O
6.5229 1.4334 7.3861 O
3.4735 -1.2123 5.9813 O
8.3534 0.4437 5.0660 O
4.8182 -3.2211 2.2944 O
8.5544 -1.9049 0.9066 O
11.1129 -0.4437 1.2163 O
11.0393 0.3596 4.6233 O
9.2824 -1.4334 3.5364 O
5.6714 -3.2563 5.3042 O
13.7988 -0.3596 0.7735 O
```

Peak list (10 most intense, 2θ from 5° to 70°, low angle first)
two_theta  intensity
13.2  70.2
18.7  56.9
19.0  43.0
19.2  82.3
26.6  37.3
29.8  100.0
30.2  65.5
30.8  66.1
32.9  79.2
33.3  39.2